Structure and theoretical powder diffractogram of Sr3Ac2Rh2 (a structure optimized by DFT (PBE); Cu Kα).
Neutral-atom scattering factors, no anomalous dispersion.

Structure:
```
data_Sr3Ac2Rh2
_chemical_formula_sum 'Sr3 Ac2 Rh2'
_cell_length_a 7.214
_cell_length_b 7.214
_cell_length_c 9.153
_cell_angle_alpha 109.82
_cell_angle_beta 109.82
_cell_angle_gamma 34.16
_space_group_name_H-M_alt 'P 1'
_space_group_IT_number 1
loop_
_space_group_symop_operation_xyz
'x,y,z'
loop_
_atom_site_label
_atom_site_type_symbol
_atom_site_fract_x
_atom_site_fract_y
_atom_site_fract_z
Sr1 Sr 0.000 0.000 0.000
Sr2 Sr 0.127 0.127 0.422
Sr3 Sr 0.873 0.873 0.578
Ac1 Ac 0.325 0.325 0.181
Ac2 Ac 0.675 0.675 0.819
Rh1 Rh 0.310 0.310 0.811
Rh2 Rh 0.690 0.690 0.189
```

Top 8 peaks for 15 to 90 degrees two-theta, in order of falling intensity:
2θ/deg  d_spacing  I (rel.)
28.83  3.097  100
29.60  3.018  61
29.40  3.038  43
42.70  2.117  42
31.75  2.819  36
25.47  3.497  34
28.72  3.109  30
31.36  2.852  23

=====

Structure and theoretical powder diffractogram of Zn2Ga6Ag3 (a structure optimized by DFT (PBE); Cu Kα).
Neutral-atom scattering factors, no anomalous dispersion.

Structure:
```
data_Zn2Ga6Ag3
_chemical_formula_sum 'Zn2 Ga6 Ag3'
_cell_length_a 24.045
_cell_length_b 24.045
_cell_length_c 24.045
_cell_angle_alpha 7.25
_cell_angle_beta 7.25
_cell_angle_gamma 7.25
_space_group_name_H-M_alt 'P 1'
_space_group_IT_number 1
loop_
_space_group_symop_operation_xyz
'x,y,z'
loop_
_atom_site_label
_atom_site_type_symbol
_atom_site_fract_x
_atom_site_fract_y
_atom_site_fract_z
Zn1 Zn 0.044 0.044 0.044
Zn2 Zn 0.956 0.956 0.956
Ga1 Ga 0.136 0.136 0.136
Ga2 Ga 0.318 0.318 0.318
Ga3 Ga 0.407 0.407 0.407
Ga4 Ga 0.593 0.593 0.593
Ga5 Ga 0.682 0.682 0.682
Ga6 Ga 0.864 0.864 0.864
Ag1 Ag 0.229 0.229 0.229
Ag2 Ag 0.500 0.500 0.500
Ag3 Ag 0.771 0.771 0.771
```

Top 8 peaks for 15 to 90 degrees two-theta, in order of falling intensity:
2θ/deg  d_spacing  I (rel.)
36.79  2.443  100
44.16  2.051  58
41.42  2.180  22
60.94  1.520  22
76.37  1.247  21
67.42  1.389  14
73.35  1.291  12
78.28  1.221  10

=====

Structure and theoretical powder diffractogram of RbDy2CuSe4 (a structure optimized by DFT (PBE); Cu Kα).
Neutral-atom scattering factors, no anomalous dispersion.

Structure:
```
data_RbDy2CuSe4
_chemical_formula_sum 'Rb2 Dy4 Cu2 Se8'
_cell_length_a 7.463
_cell_length_b 7.463
_cell_length_c 14.432
_cell_angle_alpha 90.00
_cell_angle_beta 90.00
_cell_angle_gamma 147.80
_space_group_name_H-M_alt 'P 1'
_space_group_IT_number 1
loop_
_space_group_symop_operation_xyz
'x,y,z'
loop_
_atom_site_label
_atom_site_type_symbol
_atom_site_fract_x
_atom_site_fract_y
_atom_site_fract_z
Rb1 Rb 0.111 0.889 0.750
Rb2 Rb 0.889 0.111 0.250
Dy1 Dy 0.366 0.634 0.564
Dy2 Dy 0.366 0.634 0.936
Dy3 Dy 0.634 0.366 0.064
Dy4 Dy 0.634 0.366 0.436
Cu1 Cu 0.163 0.837 0.250
Cu2 Cu 0.837 0.163 0.750
Se1 Se 0.000 0.000 0.000
Se2 Se 0.000 0.000 0.500
Se3 Se 0.262 0.738 0.109
Se4 Se 0.262 0.738 0.391
Se5 Se 0.430 0.570 0.750
Se6 Se 0.570 0.430 0.250
Se7 Se 0.738 0.262 0.609
Se8 Se 0.738 0.262 0.891
```

Top 8 peaks for 15 to 90 degrees two-theta, in order of falling intensity:
2θ/deg  d_spacing  I (rel.)
31.15  2.871  100
42.69  2.118  83
29.20  3.058  77
22.25  3.995  41
43.74  2.070  38
33.48  2.676  37
38.54  2.336  30
27.68  3.223  29

=====

Structure and theoretical powder diffractogram of NdHfOs4 (a structure optimized by DFT (PBE); Cu Kα).
Neutral-atom scattering factors, no anomalous dispersion.

Structure:
```
data_NdHfOs4
_chemical_formula_sum 'Nd1 Hf1 Os4'
_cell_length_a 5.335
_cell_length_b 5.335
_cell_length_c 5.335
_cell_angle_alpha 60.00
_cell_angle_beta 60.00
_cell_angle_gamma 60.00
_space_group_name_H-M_alt 'P 1'
_space_group_IT_number 1
loop_
_space_group_symop_operation_xyz
'x,y,z'
loop_
_atom_site_label
_atom_site_type_symbol
_atom_site_fract_x
_atom_site_fract_y
_atom_site_fract_z
Nd1 Nd 0.000 0.000 0.000
Hf1 Hf 0.750 0.750 0.750
Os1 Os 0.375 0.375 0.375
Os2 Os 0.375 0.375 0.874
Os3 Os 0.375 0.874 0.375
Os4 Os 0.874 0.375 0.375
```

Top 8 peaks for 15 to 90 degrees two-theta, in order of falling intensity:
2θ/deg  d_spacing  I (rel.)
39.62  2.275  100
41.46  2.178  46
64.13  1.452  33
70.62  1.334  29
33.59  2.668  22
85.33  1.137  18
84.13  1.151  12
20.39  4.356  11

=====

Structure and theoretical powder diffractogram of BaGaO2 (a structure optimized by DFT (PBE); Cu Kα).
Neutral-atom scattering factors, no anomalous dispersion.

Structure:
```
data_BaGaO2
_chemical_formula_sum 'Ba1 Ga1 O2'
_cell_length_a 6.689
_cell_length_b 6.689
_cell_length_c 6.689
_cell_angle_alpha 35.20
_cell_angle_beta 35.20
_cell_angle_gamma 35.20
_space_group_name_H-M_alt 'P 1'
_space_group_IT_number 1
loop_
_space_group_symop_operation_xyz
'x,y,z'
loop_
_atom_site_label
_atom_site_type_symbol
_atom_site_fract_x
_atom_site_fract_y
_atom_site_fract_z
Ba1 Ba 0.000 0.000 0.000
Ga1 Ga 0.500 0.500 0.500
O1 O 0.405 0.405 0.405
O2 O 0.595 0.595 0.595
```

Top 8 peaks for 15 to 90 degrees two-theta, in order of falling intensity:
2θ/deg  d_spacing  I (rel.)
27.16  3.283  100
31.86  2.809  45
44.81  2.023  30
46.53  1.952  20
53.96  1.699  20
28.48  3.134  19
55.46  1.657  15
53.19  1.722  15

=====

Structure and theoretical powder diffractogram of Mg6CrS8 (a structure optimized by DFT (PBE); Cu Kα).
Neutral-atom scattering factors, no anomalous dispersion.

Structure:
```
data_Mg6CrS8
_chemical_formula_sum 'Mg6 Cr1 S8'
_cell_length_a 7.327
_cell_length_b 7.327
_cell_length_c 7.327
_cell_angle_alpha 60.00
_cell_angle_beta 60.00
_cell_angle_gamma 60.00
_space_group_name_H-M_alt 'P 1'
_space_group_IT_number 1
loop_
_space_group_symop_operation_xyz
'x,y,z'
loop_
_atom_site_label
_atom_site_type_symbol
_atom_site_fract_x
_atom_site_fract_y
_atom_site_fract_z
Mg1 Mg 0.000 0.000 0.500
Mg2 Mg 0.000 0.500 0.000
Mg3 Mg 0.000 0.500 0.500
Mg4 Mg 0.500 0.000 0.000
Mg5 Mg 0.500 0.000 0.500
Mg6 Mg 0.500 0.500 0.000
Cr1 Cr 0.000 0.000 0.000
S1 S 0.234 0.234 0.766
S2 S 0.234 0.766 0.234
S3 S 0.234 0.766 0.766
S4 S 0.250 0.250 0.250
S5 S 0.750 0.750 0.750
S6 S 0.766 0.234 0.234
S7 S 0.766 0.234 0.766
S8 S 0.766 0.766 0.234
```

Top 8 peaks for 15 to 90 degrees two-theta, in order of falling intensity:
2θ/deg  d_spacing  I (rel.)
34.63  2.591  100
49.78  1.832  63
83.43  1.159  25
62.05  1.496  20
73.05  1.295  9
45.48  1.994  8
28.57  3.124  7
52.23  1.752  5